1.
Starting from DFT lattice parameters and positions (GGA+U), the X-ray diffraction stick pattern of Li9Mn2Co5O16 was calculated for a wavelength of 1.5418 Å.
Peak positions follow from Bragg's law for the DFT cell and can differ from measured ones.

Principal peaks in the range 2θ from 10° to 90°, by angle:
d [Å], I/Imax
4.855, 100
2.549, 14
2.480, 25
2.127, 27
2.062, 53
1.917, 9
1.596, 9
1.484, 14
1.477, 13
1.445, 7

Cell and atoms:
```
Li9Mn2Co5O16
1.0
7.646 -1.445 0.000
7.646 1.445 0.000
-0.650 0.000 13.100
Li Mn Co O
9 2 5 16
Direct
0.000 0.000 0.000 Li
0.121 0.121 0.346 Li
0.243 0.243 0.741 Li
0.373 0.373 0.112 Li
0.504 0.504 0.477 Li
0.562 0.562 0.174 Li
0.626 0.626 0.872 Li
0.749 0.749 0.234 Li
0.876 0.876 0.613 Li
0.315 0.315 0.423 Mn
0.436 0.436 0.800 Mn
0.065 0.065 0.676 Co
0.178 0.178 0.066 Co
0.685 0.685 0.548 Co
0.805 0.805 0.929 Co
0.946 0.946 0.283 Co
0.018 0.018 0.831 O
0.103 0.103 0.521 O
0.159 0.159 0.200 O
0.224 0.224 0.894 O
0.272 0.272 0.566 O
0.350 0.350 0.286 O
0.399 0.399 0.941 O
0.471 0.471 0.659 O
0.525 0.525 0.330 O
0.599 0.599 0.020 O
0.652 0.652 0.701 O
0.732 0.732 0.394 O
0.775 0.775 0.073 O
0.853 0.853 0.769 O
0.896 0.896 0.459 O
0.962 0.962 0.149 O
```

=====

2.
Starting from DFT lattice parameters and positions (GGA+U), the X-ray diffraction stick pattern of VPO5 was calculated for a wavelength of 1.5418 Å.
Peak positions follow from Bragg's law for the DFT cell and can differ from measured ones.

Principal peaks in the range 2θ from 10° to 90°, by angle:
d [Å], I/Imax
5.153, 17
4.540, 100
4.119, 11
3.129, 51
3.051, 44
2.850, 28
2.725, 18
2.577, 25
2.304, 12
1.717, 15

Cell and atoms:
```
VPO5
1.0
4.663 -3.129 0.000
4.663 3.129 0.000
-1.427 0.000 6.101
V P O
2 2 10
Direct
0.188 0.188 0.224 V
0.812 0.812 0.776 V
0.248 0.248 0.750 P
0.752 0.752 0.250 P
0.137 0.137 0.902 O
0.151 0.548 0.792 O
0.154 0.154 0.512 O
0.363 0.363 0.274 O
0.452 0.849 0.208 O
0.548 0.151 0.792 O
0.637 0.637 0.726 O
0.846 0.846 0.488 O
0.849 0.452 0.208 O
0.863 0.863 0.098 O
```

=====

3.
Starting from DFT lattice parameters and positions (GGA+U), the X-ray diffraction stick pattern of Fe2Cl6O5 was calculated for a wavelength of 1.5418 Å.
Peak positions follow from Bragg's law for the DFT cell and can differ from measured ones.

Principal peaks in the range 2θ from 10° to 90°, by angle:
d [Å], I/Imax
5.023, 100
4.975, 94
4.702, 92
3.789, 26
3.677, 24
3.178, 31
2.904, 22
2.755, 40
2.363, 15
2.336, 15

Cell and atoms:
```
Fe2Cl6O5
1.0
13.190 0.000 0.000
0.000 6.707 0.000
0.000 0.000 15.158
Fe Cl O
8 24 20
Direct
0.018 0.011 0.000 Fe
0.226 0.562 0.286 Fe
0.274 0.562 0.786 Fe
0.482 0.011 0.500 Fe
0.518 0.989 0.000 Fe
0.726 0.438 0.286 Fe
0.774 0.438 0.786 Fe
0.982 0.989 0.500 Fe
0.028 0.340 0.978 Cl
0.054 0.129 0.383 Cl
0.078 0.056 0.615 Cl
0.127 0.412 0.786 Cl
0.153 0.293 0.222 Cl
0.173 0.894 0.012 Cl
0.327 0.894 0.512 Cl
0.347 0.293 0.722 Cl
0.373 0.412 0.286 Cl
0.422 0.056 0.115 Cl
0.446 0.129 0.883 Cl
0.472 0.340 0.478 Cl
0.528 0.660 0.978 Cl
0.554 0.871 0.383 Cl
0.578 0.944 0.615 Cl
0.627 0.588 0.786 Cl
0.653 0.707 0.222 Cl
0.673 0.106 0.012 Cl
0.827 0.106 0.512 Cl
0.847 0.707 0.722 Cl
0.873 0.588 0.286 Cl
0.922 0.944 0.115 Cl
0.946 0.871 0.883 Cl
0.972 0.660 0.478 Cl
0.162 0.715 0.217 O
0.168 0.561 0.594 O
0.181 0.555 0.386 O
0.212 0.800 0.796 O
0.235 0.453 0.567 O
0.265 0.453 0.067 O
0.288 0.800 0.296 O
0.319 0.555 0.886 O
0.332 0.561 0.094 O
0.338 0.715 0.717 O
0.662 0.285 0.217 O
0.668 0.439 0.594 O
0.681 0.445 0.386 O
0.712 0.200 0.796 O
0.735 0.547 0.567 O
0.765 0.547 0.067 O
0.788 0.200 0.296 O
0.819 0.445 0.886 O
0.832 0.439 0.094 O
0.838 0.285 0.717 O
```

=====

4.
Starting from DFT lattice parameters and positions (GGA+U), the X-ray diffraction stick pattern of NaSrDyFeO6 was calculated for a wavelength of 1.5418 Å.
Peak positions follow from Bragg's law for the DFT cell and can differ from measured ones.

Principal peaks in the range 2θ from 10° to 90°, by angle:
d [Å], I/Imax
4.690, 28
4.062, 28
2.872, 100
2.449, 21
2.031, 36
1.864, 12
1.817, 10
1.658, 39
1.436, 21
1.285, 18

Cell and atoms:
```
NaSrDyFeO6
1.0
0.000 4.062 4.062
4.062 0.000 4.062
4.062 4.062 0.000
Na Sr Dy Fe O
1 1 1 1 6
Direct
0.000 0.000 0.000 Na
0.500 0.500 0.500 Sr
0.250 0.250 0.250 Dy
0.750 0.750 0.750 Fe
0.520 0.520 0.980 O
0.520 0.980 0.520 O
0.520 0.980 0.980 O
0.980 0.520 0.520 O
0.980 0.520 0.980 O
0.980 0.980 0.520 O
```

=====

5.
Starting from DFT lattice parameters and positions (GGA+U), the X-ray diffraction stick pattern of NbVO5 was calculated for a wavelength of 1.5418 Å.
Peak positions follow from Bragg's law for the DFT cell and can differ from measured ones.

Principal peaks in the range 2θ from 10° to 90°, by angle:
d [Å], I/Imax
4.865, 16
3.646, 83
3.440, 100
3.221, 44
2.432, 15
2.023, 25
1.966, 23
1.941, 17
1.720, 19
1.529, 28

Cell and atoms:
```
NbVO5
1.0
6.880 0.000 0.000
0.000 6.880 0.000
0.000 0.000 4.299
Nb V O
2 2 10
Direct
0.250 0.250 0.202 Nb
0.750 0.750 0.798 Nb
0.250 0.750 0.500 V
0.750 0.250 0.500 V
0.040 0.758 0.724 O
0.242 0.540 0.276 O
0.250 0.250 0.788 O
0.258 0.960 0.276 O
0.460 0.742 0.724 O
0.540 0.258 0.276 O
0.742 0.040 0.724 O
0.750 0.750 0.212 O
0.758 0.460 0.724 O
0.960 0.242 0.276 O
```

=====

6.
Starting from DFT lattice parameters and positions (GGA+U), the X-ray diffraction stick pattern of MgMn4Zn2O8 was calculated for a wavelength of 1.5418 Å.
Peak positions follow from Bragg's law for the DFT cell and can differ from measured ones.

Principal peaks in the range 2θ from 10° to 90°, by angle:
d [Å], I/Imax
3.048, 34
2.702, 56
2.664, 46
2.646, 54
2.621, 100
2.574, 60
2.231, 43
2.189, 79
1.604, 51
1.524, 43

Cell and atoms:
```
MgMn4Zn2O8
1.0
5.310 -2.996 0.000
5.310 2.996 0.000
-3.489 0.000 5.404
Mg Mn Zn O
1 4 2 8
Direct
0.000 0.000 0.000 Mg
0.115 0.115 0.465 Mn
0.455 0.455 0.493 Mn
0.461 0.461 0.984 Mn
0.786 0.786 0.523 Mn
0.492 0.968 0.000 Zn
0.968 0.492 0.000 Zn
0.198 0.704 0.744 O
0.212 0.722 0.219 O
0.227 0.227 0.259 O
0.247 0.247 0.828 O
0.676 0.676 0.154 O
0.680 0.680 0.712 O
0.704 0.198 0.744 O
0.722 0.212 0.219 O
```